[1]
The following is a theoretical powder diffraction line list of La2MgGeO. It was derived from the GGA-PBE geometry in Alexandria, using Cu Ka.
No peak broadening, texture or thermal motion is included.

Structure:
```
data_La2MgGeO
_symmetry_space_group_name_H-M 'P 4/m m m'
_symmetry_Int_Tables_number 123
_symmetry_space_group_name_Hall '-P 4 2'
_cell_length_a 5.0896
_cell_length_b 5.0896
_cell_length_c 4.2606
_cell_angle_alpha 90.00
_cell_angle_beta 90.00
_cell_angle_gamma 90.00
loop_
_atom_site_label
_atom_site_type_symbol
_atom_site_fract_x
_atom_site_fract_y
_atom_site_fract_z
_atom_site_occupancy
La1 La 0.0000 0.5000 0.0000 1
Mg1 Mg 0.0000 0.0000 0.5000 1
Ge1 Ge 0.5000 0.5000 0.5000 1
O1 O 0.0000 0.0000 0.0000 1
```

Most intense lines, 5 to 70 degrees two-theta, by intensity:
2θ 32.57, rel. 100, hkl 1 1 1
2θ 35.27, rel. 48, hkl 2 0 0
2θ 61.60, rel. 32, hkl 3 1 1
2θ 56.32, rel. 24, hkl 2 0 2
2θ 20.85, rel. 22, hkl 0 0 1
2θ 24.74, rel. 19, hkl 1 1 0
2θ 50.73, rel. 17, hkl 2 2 0
2θ 41.33, rel. 14, hkl 2 0 1
2θ 42.43, rel. 14, hkl 0 0 2
2θ 68.22, rel. 13, hkl 2 2 2

[2]
The following is a theoretical powder diffraction line list of Tb3Al2Si3. It was derived from the GGA-PBE geometry in Alexandria, using Cu Ka.
No peak broadening, texture or thermal motion is included.

Structure:
```
data_Tb3Al2Si3
_symmetry_space_group_name_H-M 'C m c m'
_symmetry_Int_Tables_number 63
_symmetry_space_group_name_Hall '-C 2c 2'
_cell_length_a 4.1689
_cell_length_b 10.7972
_cell_length_c 14.8904
_cell_angle_alpha 90.00
_cell_angle_beta 90.00
_cell_angle_gamma 90.00
loop_
_atom_site_label
_atom_site_type_symbol
_atom_site_fract_x
_atom_site_fract_y
_atom_site_fract_z
_atom_site_occupancy
Tb1 Tb 0.0000 0.0734 0.2500 1
Tb2 Tb 0.0000 0.3678 0.0974 1
Al1 Al 0.0000 0.3456 0.6195 1
Si1 Si 0.0000 0.0812 0.0525 1
Si2 Si 0.0000 0.2004 0.7500 1
```

Most intense lines, 5 to 70 degrees two-theta, by intensity:
2θ 33.32, rel. 100, hkl 1 1 4
2θ 24.36, rel. 94, hkl 0 2 3
2θ 33.44, rel. 66, hkl 1 3 1
2θ 25.85, rel. 51, hkl 1 1 2
2θ 23.64, rel. 44, hkl 1 1 1
2θ 29.16, rel. 41, hkl 1 1 3
2θ 32.88, rel. 40, hkl 1 3 0
2θ 36.20, rel. 38, hkl 0 0 6
2θ 43.41, rel. 35, hkl 2 0 0
2θ 33.19, rel. 33, hkl 0 4 0

Q: What is the formula in the first record?
A: La2MgGeO